# TaSi4
Simulated X-ray diffraction stick pattern, Cu Kα. Input: the PBE geometry in Alexandria.
Intensities are scaled so that the largest is 100.

Main lines, sorted by position (2θ = 5–70°):
Position (°2θ)	Rel. int.
19.84	61
28.20	28
28.64	64
40.31	15
40.63	100
45.31	42
50.19	14
58.57	16
66.01	12
66.25	13

Structure:
a b c (Å): 6.329 6.329 3.581
angles (deg): 90.00 90.00 90.00
Space group I4/m (No. 87)
Inequivalent atoms, fractional coordinates:
Ta  0.000  0.000  0.000 (multiplicity 2)
Si  0.116  0.318  0.500 (multiplicity 8)